Structure and computed X-ray diffraction stick pattern of Ac3HgPb2 (DFT lattice parameters and positions (PBE); Cu Kα (λ = 1.5418 Å)).

Crystal structure
```
Ac3HgPb2
1.0
13.5134 0.0000 0.0000
0.0000 5.0113 0.0000
0.0000 0.0000 13.0869
Ac Hg Pb
12 4 8
direct
0.0448 0.2500 0.1281
0.1308 0.7500 0.5610
0.2116 0.2500 0.8066
0.2884 0.7500 0.3066
0.3692 0.2500 0.0610
0.4552 0.7500 0.6281
0.5448 0.2500 0.3719
0.6308 0.7500 0.9390
0.7116 0.2500 0.6934
0.7884 0.7500 0.1934
0.8692 0.2500 0.4390
0.9552 0.7500 0.8719
0.1448 0.2500 0.3540
0.3552 0.7500 0.8540
0.6448 0.2500 0.1460
0.8552 0.7500 0.6460
0.0063 0.7500 0.3216
0.1837 0.7500 0.0194
0.3163 0.2500 0.5194
0.4937 0.2500 0.8216
0.5063 0.7500 0.1784
0.6837 0.7500 0.4806
0.8163 0.2500 0.9806
0.9937 0.2500 0.6784
```

Principal peaks in the range 2θ = 5–70°, low angle first:
2θ/deg  I_rel
25.99  47
27.10  29
28.06  31
29.97  100
32.69  29
34.84  20
35.35  20
35.84  46
39.83  17
46.12  17


Structure and computed X-ray diffraction stick pattern of DyZnPd3 (DFT lattice parameters and positions (PBE); Cu Kα (λ = 1.5418 Å)).

Crystal structure
```
DyZnPd3
1.0
5.8913 0.0000 0.0000
0.0000 8.1754 0.0000
0.0000 0.0000 7.6816
Dy Zn Pd
4 4 12
direct
0.1212 0.2500 0.0082
0.3788 0.7500 0.5082
0.6212 0.2500 0.4918
0.8788 0.7500 0.9918
0.0000 0.0000 0.5000
0.0000 0.5000 0.5000
0.5000 0.0000 0.0000
0.5000 0.5000 0.0000
0.1796 0.2500 0.3733
0.1896 0.5712 0.2131
0.1896 0.9288 0.2131
0.3104 0.0712 0.7131
0.3104 0.4288 0.7131
0.3204 0.7500 0.8733
0.6796 0.2500 0.1267
0.6896 0.5712 0.2869
0.6896 0.9288 0.2869
0.8104 0.0712 0.7869
0.8104 0.4288 0.7869
0.8204 0.7500 0.6267
```

Principal peaks in the range 2θ = 5–70°, low angle first:
2θ/deg  I_rel
29.02  79
31.97  64
32.30  47
32.56  65
34.94  100
35.51  46
39.94  91
40.12  74
44.49  76
45.34  86